Record 1
This entry pairs a crystal structure of Sr2SmTe3 with its simulated powder diffractogram. Radiation: copper Kα. Structure: the GGA-PBE geometry in OQMD.
Kinematic intensities with the Lorentz-polarization factor, no thermal factor.

Cell and atoms:
a b c (Å): 4.597 4.597 11.494
angles (deg): 90.00 90.00 120.00
Sites, in units of the cell vectors:
1 Sr 0.333 0.667 0.172
2 Sr 0.667 0.333 0.828
3 Sm 0.000 0.000 0.500
4 Te 0.000 0.000 0.000
5 Te 0.333 0.667 0.655
6 Te 0.667 0.333 0.345

Top 6 peaks for 5 to 70 degrees two-theta, in order of rising 2θ:
| hkl | two_theta | I (rel.) |
| --- | --- | --- |
| 0 1 2 | 27.25 | 100.0 |
| 1 0 4 | 38.64 | 39.1 |
| 1 1 0 | 39.19 | 38.0 |
| 2 0 2 | 48.39 | 20.5 |
| 1 1 6 | 63.18 | 17.0 |
| 1 2 2 | 63.96 | 17.7 |

---

Record 2
This entry pairs a crystal structure of Mg2B6W with its simulated powder diffractogram. Radiation: copper Kα. Structure: the GGA-PBE geometry in OQMD.
Kinematic intensities with the Lorentz-polarization factor, no thermal factor.

Cell and atoms:
a b c (Å): 9.127 11.225 3.380
angles (deg): 90.00 90.00 90.00
Sites, in units of the cell vectors:
1 Mg 0.053 0.128 0.000
2 Mg 0.171 0.413 0.000
3 Mg 0.329 0.913 0.000
4 Mg 0.447 0.628 0.000
5 Mg 0.553 0.372 0.000
6 Mg 0.671 0.087 0.000
7 Mg 0.829 0.587 0.000
8 Mg 0.947 0.872 0.000
9 B 0.020 0.289 0.500
10 B 0.055 0.562 0.500
11 B 0.091 0.975 0.500
12 B 0.131 0.823 0.500
13 B 0.199 0.242 0.500
14 B 0.238 0.075 0.500
15 B 0.262 0.575 0.500
16 B 0.301 0.742 0.500
17 B 0.369 0.323 0.500
18 B 0.409 0.475 0.500
19 B 0.445 0.062 0.500
20 B 0.480 0.789 0.500
21 B 0.520 0.211 0.500
22 B 0.555 0.938 0.500
23 B 0.591 0.525 0.500
24 B 0.631 0.677 0.500
25 B 0.699 0.258 0.500
26 B 0.738 0.425 0.500
27 B 0.762 0.925 0.500
28 B 0.801 0.758 0.500
29 B 0.869 0.177 0.500
30 B 0.909 0.025 0.500
31 B 0.945 0.438 0.500
32 B 0.980 0.711 0.500
33 W 0.146 0.680 0.000
34 W 0.354 0.180 0.000
35 W 0.646 0.820 0.000
36 W 0.854 0.320 0.000

Top 6 peaks for 5 to 70 degrees two-theta, in order of rising 2θ:
| hkl | two_theta | I (rel.) |
| --- | --- | --- |
| 0 2 0 | 15.79 | 57.3 |
| 1 2 0 | 18.56 | 72.5 |
| 2 1 0 | 21.01 | 100.0 |
| 0 0 1 | 26.37 | 48.1 |
| 2 1 1 | 33.96 | 55.2 |
| 1 4 1 | 43.07 | 60.4 |

---

Record 3
This entry pairs a crystal structure of PmGdO2F2 with its simulated powder diffractogram. Radiation: copper Kα. Structure: the GGA-PBE geometry in OQMD.
Kinematic intensities with the Lorentz-polarization factor, no thermal factor.

Cell and atoms:
a b c (Å): 3.833 3.833 5.643
angles (deg): 90.00 90.00 90.00
Sites, in units of the cell vectors:
1 Pm 0.000 0.000 0.000
2 Gd 0.500 0.500 0.413
3 O 0.000 0.500 0.213
4 O 0.500 0.000 0.213
5 F 0.000 0.000 0.592
6 F 0.500 0.500 0.815

Top 6 peaks for 5 to 70 degrees two-theta, in order of rising 2θ:
| hkl | two_theta | I (rel.) |
| --- | --- | --- |
| 1 0 1 | 28.14 | 100.0 |
| 1 1 0 | 33.05 | 44.8 |
| 1 0 2 | 39.66 | 21.9 |
| 1 1 2 | 46.46 | 29.0 |
| 2 0 0 | 47.44 | 23.3 |
| 2 1 1 | 56.07 | 30.3 |

---

What is the formula in the second record?
Mg2B6W

---

What did the third record say?
This entry pairs a crystal structure of PmGdO2F2 with its simulated powder diffractogram. Radiation: copper Kα. Structure: the GGA-PBE geometry in OQMD.
Kinematic intensities with the Lorentz-polarization factor, no thermal factor.

Cell and atoms:
a b c (Å): 3.833 3.833 5.643
angles (deg): 90.00 90.00 90.00
Sites, in units of the cell vectors:
1 Pm 0.000 0.000 0.000
2 Gd 0.500 0.500 0.413
3 O 0.000 0.500 0.213
4 O 0.500 0.000 0.213
5 F 0.000 0.000 0.592
6 F 0.500 0.500 0.815

Top 6 peaks for 5 to 70 degrees two-theta, in order of rising 2θ:
| hkl | two_theta | I (rel.) |
| --- | --- | --- |
| 1 0 1 | 28.14 | 100.0 |
| 1 1 0 | 33.05 | 44.8 |
| 1 0 2 | 39.66 | 21.9 |
| 1 1 2 | 46.46 | 29.0 |
| 2 0 0 | 47.44 | 23.3 |
| 2 1 1 | 56.07 | 30.3 |